1.
# Pu2CdO
Simulated PXRD pattern, Cu Kα (λ = 1.5418 Å). Input: a structure optimized by DFT (GGA-PBE).
Kinematic intensities with the Lorentz-polarization factor, no thermal factor.

Top 10 peaks for 10° ≤ 2θ ≤ 90°, by intensity:
(1 0 2), 2θ 36.35, I = 100; (1 1 0), 2θ 41.77, I = 57; (1 0 1), 2θ 31.13, I = 54; (1 0 0), 2θ 29.20, I = 46; (0 0 3), 2θ 32.00, I = 46; (1 1 3), 2θ 53.57, I = 44; (1 0 3), 2θ 43.87, I = 31; (1 0 5), 2θ 63.21, I = 27; (2 1 2), 2θ 72.72, I = 26; (2 0 3), 2θ 70.14, I = 20

Structural model:
Cell: 3.058 3.058 8.390 Å, 90.00 90.00 90.00°
Space group P4/mmm (No. 123)
Asymmetric unit:
Pu 0.000 0.000 0.188
Cd 0.500 0.500 0.500
O 0.500 0.500 0.000

2.
# RbPu2Cd2O7
Simulated PXRD pattern, Cu Kα (λ = 1.5418 Å). Input: a structure optimized by DFT (GGA-PBE).
Kinematic intensities with the Lorentz-polarization factor, no thermal factor.

Top 10 peaks for 10° ≤ 2θ ≤ 90°, by intensity:
(0 1 5), 2θ 29.64, I = 100; (1 1 2), 2θ 30.25, I = 67; (1 0 1), 2θ 21.43, I = 57; (1 1 4), 2θ 34.00, I = 56; (1 0 3), 2θ 24.82, I = 52; (1 0 9), 2θ 45.71, I = 45; (0 1 1), 2θ 20.14, I = 43; (0 2 0), 2θ 39.92, I = 42; (2 1 5), 2θ 52.83, I = 41; (2 0 0), 2θ 42.70, I = 35

Structural model:
Cell: 4.235 4.516 20.237 Å, 90.00 90.00 90.00°
Space group Immm (No. 71)
Asymmetric unit:
Rb 0.000 0.000 0.000
Pu 0.000 0.000 0.394
Cd 0.000 0.500 0.273
O 0.000 0.000 0.277
O 0.000 0.000 0.500
O 0.000 0.500 0.107
O 0.000 0.500 0.388

3.
# SrPu2CdO8
Simulated PXRD pattern, Cu Kα (λ = 1.5418 Å). Input: a structure optimized by DFT (GGA-PBE).
Kinematic intensities with the Lorentz-polarization factor, no thermal factor.

Top 10 peaks for 10° ≤ 2θ ≤ 90°, by intensity:
(1 1 2), 2θ 28.67, I = 100; (2 0 4), 2θ 48.10, I = 33; (3 1 2), 2θ 55.88, I = 32; (1 0 1), 2θ 18.27, I = 26; (2 0 0), 2θ 32.68, I = 23; (2 2 0), 2θ 46.89, I = 18; (1 1 6), 2θ 58.00, I = 17; (3 1 6), 2θ 77.69, I = 13; (4 2 4), 2θ 88.00, I = 11; (0 0 4), 2θ 34.29, I = 10

Structural model:
Cell: 5.481 5.481 10.460 Å, 90.00 90.00 90.00°
Space group I-4 (No. 82)
Asymmetric unit:
Sr 0.000 0.000 0.000
Pu 0.000 0.000 0.500
Pu 0.000 0.500 0.250
Cd 0.000 0.500 0.750
O 0.216 0.755 0.374
O 0.218 0.244 0.372

4.
# Rb12CdO7
Simulated PXRD pattern, Cu Kα (λ = 1.5418 Å). Input: a structure optimized by DFT (GGA-PBE).
Kinematic intensities with the Lorentz-polarization factor, no thermal factor.

Top 10 peaks for 10° ≤ 2θ ≤ 90°, by intensity:
(4 -1 2), 2θ 31.22, I = 100; (1 3 1), 2θ 27.18, I = 95; (0 0 3), 2θ 26.27, I = 36; (1 3 4), 2θ 44.15, I = 34; (5 2 0), 2θ 45.32, I = 28; (7 -5 3), 2θ 53.14, I = 21; (1 1 0), 2θ 12.27, I = 20; (1 0 1), 2θ 11.21, I = 14; (4 -1 5), 2θ 52.10, I = 13; (8 -2 1), 2θ 53.67, I = 12

Structural model:
Cell: 14.4285 14.4285 10.1782 Å, 90.00 90.00 120.00°
Space group R-3 (No. 148, hexagonal axes)
Asymmetric unit:
Rb 0.0391 0.4579 0.1525
Rb 0.0396 0.8839 0.8137
Cd 0.0000 0.0000 0.5000
O 0.0000 0.0000 0.0000
O 0.0385 0.8678 0.3472

5.
# Rb2CdO2
Simulated PXRD pattern, Cu Kα (λ = 1.5418 Å). Input: a structure optimized by DFT (GGA-PBE).
Kinematic intensities with the Lorentz-polarization factor, no thermal factor.

Top 10 peaks for 10° ≤ 2θ ≤ 90°, by intensity:
(1 0 2), 2θ 29.03, I = 100; (1 2 1), 2θ 31.00, I = 98; (2 0 -2), 2θ 30.26, I = 76; (3 0 0), 2θ 29.66, I = 74; (3 1 0), 2θ 32.39, I = 62; (2 2 -1), 2θ 33.89, I = 56; (0 2 1), 2θ 28.69, I = 48; (1 2 0), 2θ 27.41, I = 37; (3 2 -1), 2θ 40.29, I = 36; (4 0 2), 2θ 51.49, I = 30

Structural model:
Cell: 9.134 6.975 6.964 Å, 90.00 98.30 90.00°
Space group P2_1/c (No. 14)
Asymmetric unit:
Rb 0.036 0.239 0.010
Rb 0.318 0.619 0.899
Cd 0.373 0.099 0.847
O 0.158 0.532 0.257
O 0.445 0.151 0.168

6.
# Rb4Cd2O
Simulated PXRD pattern, Cu Kα (λ = 1.5418 Å). Input: a structure optimized by DFT (GGA-PBE).
Kinematic intensities with the Lorentz-polarization factor, no thermal factor.

Top 10 peaks for 10° ≤ 2θ ≤ 90°, by intensity:
(2 0 0), 2θ 30.88, I = 100; (1 0 5), 2θ 27.22, I = 98; (1 1 4), 2θ 28.25, I = 93; (1 1 2), 2θ 23.50, I = 76; (2 1 5), 2θ 41.63, I = 62; (1 0 1), 2θ 15.94, I = 46; (1 1 0), 2θ 21.71, I = 42; (2 2 0), 2θ 44.24, I = 36; (3 1 4), 2θ 53.32, I = 31; (2 0 10), 2θ 56.15, I = 22

Structural model:
Cell: 5.791 5.791 19.868 Å, 90.00 90.00 90.00°
Space group I4/mmm (No. 139)
Asymmetric unit:
Rb 0.000 0.000 0.192
Rb 0.000 0.500 0.000
Cd 0.000 0.000 0.384
O 0.000 0.000 0.500

7.
# Rb5CdO3
Simulated PXRD pattern, Cu Kα (λ = 1.5418 Å). Input: a structure optimized by DFT (GGA-PBE).
Kinematic intensities with the Lorentz-polarization factor, no thermal factor.

Top 10 peaks for 10° ≤ 2θ ≤ 90°, by intensity:
(1 1 -3), 2θ 28.31, I = 100; (1 1 3), 2θ 29.83, I = 67; (1 0 -6), 2θ 28.44, I = 25; (0 0 6), 2θ 26.77, I = 24; (2 0 0), 2θ 26.59, I = 24; (0 1 9), 2θ 46.68, I = 24; (0 1 3), 2θ 25.77, I = 22; (0 2 0), 2θ 44.86, I = 19; (1 0 6), 2θ 31.41, I = 18; (3 1 0), 2θ 46.43, I = 17

Structural model:
Cell: 6.754 4.041 20.130 Å, 90.00 96.96 90.00°
Space group P2/m (No. 10)
Asymmetric unit:
Rb 0.148 0.000 0.268
Rb 0.168 0.000 0.932
Rb 0.259 0.000 0.618
Rb 0.273 0.500 0.442
Rb 0.328 0.500 0.103
Cd 0.311 0.500 0.766
O 0.000 0.500 0.000
O 0.072 0.500 0.683
O 0.441 0.000 0.808
O 0.500 0.000 0.500

8.
# Rb5Cd2O4
Simulated PXRD pattern, Cu Kα (λ = 1.5418 Å). Input: a structure optimized by DFT (GGA-PBE).
Kinematic intensities with the Lorentz-polarization factor, no thermal factor.

Top 10 peaks for 10° ≤ 2θ ≤ 90°, by intensity:
(0 2 4), 2θ 24.44, I = 100; (1 1 2), 2θ 26.14, I = 77; (1 2 1), 2θ 29.36, I = 51; (0 1 3), 2θ 15.44, I = 48; (1 3 0), 2θ 35.22, I = 44; (2 2 4), 2θ 53.81, I = 41; (1 3 2), 2θ 36.29, I = 38; (0 0 8), 2θ 34.42, I = 37; (1 1 4), 2θ 30.13, I = 34; (0 2 2), 2θ 19.40, I = 31

Structural model:
Cell: 3.857 10.184 20.846 Å, 90.00 90.00 90.00°
Space group Immm (No. 71)
Asymmetric unit:
Rb 0.000 0.000 0.000
Rb 0.000 0.184 0.383
Cd 0.000 0.500 0.254
O 0.000 0.307 0.500
O 0.000 0.500 0.155

9.
# Rb2Cd2RuO6
Simulated PXRD pattern, Cu Kα (λ = 1.5418 Å). Input: a structure optimized by DFT (GGA-PBE).
Kinematic intensities with the Lorentz-polarization factor, no thermal factor.

Top 10 peaks for 10° ≤ 2θ ≤ 90°, by intensity:
(1 3 1), 2θ 36.49, I = 100; (0 0 1), 2θ 13.72, I = 75; (1 3 -1), 2θ 32.42, I = 72; (0 0 2), 2θ 27.64, I = 64; (2 0 -2), 2θ 35.38, I = 53; (2 0 0), 2θ 31.89, I = 38; (1 3 -3), 2θ 49.01, I = 35; (3 3 -1), 2θ 54.37, I = 30; (1 3 3), 2θ 57.63, I = 20; (2 0 2), 2θ 49.12, I = 18

Structural model:
Cell: 5.896 9.875 6.780 Å, 90.00 107.84 90.00°
Space group C2/m (No. 12)
Asymmetric unit:
Rb 0.000 0.174 0.000
Cd 0.000 0.337 0.500
Ru 0.000 0.000 0.500
O 0.198 0.143 0.669
O 0.219 0.000 0.331

10.
# Rb3CdRu2O8
Simulated PXRD pattern, Cu Kα (λ = 1.5418 Å). Input: a structure optimized by DFT (GGA-PBE).
Kinematic intensities with the Lorentz-polarization factor, no thermal factor.

Top 10 peaks for 10° ≤ 2θ ≤ 90°, by intensity:
(1 1 0), 2θ 29.26, I = 100; (0 1 2), 2θ 27.80, I = 85; (2 0 2), 2θ 40.80, I = 44; (1 2 2), 2θ 51.00, I = 31; (3 0 0), 2θ 51.89, I = 19; (3 1 2), 2θ 68.02, I = 18; (2 2 0), 2θ 60.69, I = 17; (0 2 4), 2θ 57.43, I = 14; (1 0 4), 2θ 48.25, I = 13; (0 4 2), 2θ 75.72, I = 12

Structural model:
Cell: 6.1042 6.1042 8.0764 Å, 90.00 90.00 120.00°
Space group P-3m1 (No. 164)
Asymmetric unit:
Rb 0.0000 0.0000 0.0000
Rb 0.3333 0.6667 0.6655
Cd 0.0000 0.0000 0.5000
Ru 0.3333 0.6667 0.2288
O 0.1725 0.3450 0.3173
O 0.3333 0.6667 0.0104